For La4TlBr5, DFT lattice parameters and positions (PBE) gives the computed XRD peak list in this record (Cu Kα X-rays).
Neutral-atom scattering factors, no anomalous dispersion.

Crystal structure
```
data_La4TlBr5
_chemical_formula_sum 'La8 Tl2 Br10'
_space_group_name_H-M_alt 'C 1 2/m 1'
_space_group_IT_number 12
_cell_length_a 18.921
_cell_length_b 4.392
_cell_length_c 9.029
_cell_angle_alpha 90.00
_cell_angle_beta 101.95
_cell_angle_gamma 90.00
loop_
_space_group_symop_operation_xyz
'x,y,z'
'-x,-y,-z'
'-x,y,-z'
'x,-y,z'
'x+1/2,y+1/2,z'
'-x+1/2,-y+1/2,-z'
'-x+1/2,y+1/2,-z'
'x+1/2,-y+1/2,z'
loop_
_atom_site_label
_atom_site_type_symbol
_atom_site_fract_x
_atom_site_fract_y
_atom_site_fract_z
La1 La 0.006 0.000 0.248
La2 La 0.169 0.500 0.068
Tl1 Tl 0.000 0.500 0.000
Br1 Br 0.000 0.500 0.500
Br2 Br 0.164 0.000 0.820
Br3 Br 0.171 0.000 0.311
```

Main lines, by intensity (10 to 80 degrees two-theta):
- 28.36 deg, d = 3.147 Å, rel. 100
- 10.01 deg, d = 8.833 Å, rel. 58
- 28.94 deg, d = 3.085 Å, rel. 48
- 40.48 deg, d = 2.228 Å, rel. 38
- 41.44 deg, d = 2.179 Å, rel. 34
- 51.05 deg, d = 1.789 Å, rel. 20
- 41.10 deg, d = 2.196 Å, rel. 19
- 39.96 deg, d = 2.256 Å, rel. 18
- 34.80 deg, d = 2.578 Å, rel. 15
- 22.68 deg, d = 3.921 Å, rel. 13

---

For Ag8Cl8F3, DFT lattice parameters and positions (PBE) gives the computed XRD peak list in this record (Cu Kα X-rays).
Neutral-atom scattering factors, no anomalous dispersion.

Crystal structure
```
data_Ag8Cl8F3
_chemical_formula_sum 'Ag16 Cl16 F6'
_space_group_name_H-M_alt 'C 1 2/m 1'
_space_group_IT_number 12
_cell_length_a 22.608
_cell_length_b 5.127
_cell_length_c 7.718
_cell_angle_alpha 90.00
_cell_angle_beta 93.29
_cell_angle_gamma 90.00
loop_
_space_group_symop_operation_xyz
'x,y,z'
'-x,-y,-z'
'-x,y,-z'
'x,-y,z'
'x+1/2,y+1/2,z'
'-x+1/2,-y+1/2,-z'
'-x+1/2,y+1/2,-z'
'x+1/2,-y+1/2,z'
loop_
_atom_site_label
_atom_site_type_symbol
_atom_site_fract_x
_atom_site_fract_y
_atom_site_fract_z
Ag1 Ag 0.030 0.000 0.241
Ag2 Ag 0.118 0.500 0.006
Ag3 Ag 0.128 0.500 0.498
Ag4 Ag 0.231 0.000 0.280
Cl1 Cl 0.040 0.500 0.257
Cl2 Cl 0.087 0.000 0.967
Cl3 Cl 0.144 0.000 0.467
Cl4 Cl 0.219 0.500 0.242
F1 F 0.000 0.000 0.500
F2 F 0.175 0.500 0.772
```

Main lines, by intensity (10 to 80 degrees two-theta):
- 28.80 deg, d = 3.100 Å, rel. 100
- 27.27 deg, d = 3.270 Å, rel. 94
- 35.00 deg, d = 2.563 Å, rel. 92
- 20.99 deg, d = 4.233 Å, rel. 82
- 45.94 deg, d = 1.975 Å, rel. 52
- 26.97 deg, d = 3.306 Å, rel. 50
- 13.54 deg, d = 6.541 Å, rel. 49
- 44.93 deg, d = 2.017 Å, rel. 45
- 26.31 deg, d = 3.388 Å, rel. 44
- 29.08 deg, d = 3.071 Å, rel. 43

---

For Ti4Ni9Pt11, DFT lattice parameters and positions (PBE) gives the computed XRD peak list in this record (Cu Kα X-rays).
Neutral-atom scattering factors, no anomalous dispersion.

Crystal structure
```
data_Ti4Ni9Pt11
_chemical_formula_sum 'Ti8 Ni18 Pt22'
_space_group_name_H-M_alt 'C m m m'
_space_group_IT_number 65
_space_group_name_Hall '-C 2 2'
_cell_length_a 11.205
_cell_length_b 16.592
_cell_length_c 3.694
_cell_angle_alpha 90.00
_cell_angle_beta 90.00
_cell_angle_gamma 90.00
loop_
_atom_site_label
_atom_site_type_symbol
_atom_site_fract_x
_atom_site_fract_y
_atom_site_fract_z
Ti1 Ti 0.149 0.096 0.000
Ni1 Ni 0.000 0.000 0.000
Ni2 Ni 0.118 0.416 0.000
Ni3 Ni 0.119 0.250 0.000
Pt1 Pt 0.000 0.162 0.500
Pt2 Pt 0.000 0.332 0.500
Pt3 Pt 0.000 0.500 0.500
Pt4 Pt 0.245 0.331 0.500
Pt5 Pt 0.245 0.500 0.500
```

Main lines, by intensity (10 to 80 degrees two-theta):
- 40.41 deg, d = 2.232 Å, rel. 100
- 40.76 deg, d = 2.214 Å, rel. 99
- 46.13 deg, d = 1.968 Å, rel. 77
- 24.09 deg, d = 3.694 Å, rel. 45
- 69.84 deg, d = 1.347 Å, rel. 42
- 49.33 deg, d = 1.847 Å, rel. 32
- 31.95 deg, d = 2.801 Å, rel. 28
- 32.38 deg, d = 2.765 Å, rel. 28
- 52.70 deg, d = 1.737 Å, rel. 25
- 67.77 deg, d = 1.383 Å, rel. 11

---

For LiBe3As3, DFT lattice parameters and positions (PBE) gives the computed XRD peak list in this record (Cu Kα X-rays).
Neutral-atom scattering factors, no anomalous dispersion.

Crystal structure
```
data_LiBe3As3
_chemical_formula_sum 'Li2 Be6 As6'
_space_group_name_H-M_alt 'P 1 21/m 1'
_space_group_IT_number 11
_cell_length_a 8.169
_cell_length_b 3.818
_cell_length_c 8.219
_cell_angle_alpha 90.00
_cell_angle_beta 107.60
_cell_angle_gamma 90.00
loop_
_space_group_symop_operation_xyz
'x,y,z'
'-x,-y,-z'
'-x,y+1/2,-z'
'x,-y+1/2,z'
loop_
_atom_site_label
_atom_site_type_symbol
_atom_site_fract_x
_atom_site_fract_y
_atom_site_fract_z
Li1 Li 0.229 0.250 0.399
Be1 Be 0.109 0.250 0.004
Be2 Be 0.109 0.750 0.600
Be3 Be 0.468 0.750 0.383
As1 As 0.054 0.250 0.719
As2 As 0.195 0.750 0.150
As3 As 0.391 0.750 0.637
```

Main lines, by intensity (10 to 80 degrees two-theta):
- 28.45 deg, d = 3.137 Å, rel. 100
- 32.90 deg, d = 2.723 Å, rel. 90
- 25.98 deg, d = 3.430 Å, rel. 81
- 29.81 deg, d = 2.997 Å, rel. 79
- 26.97 deg, d = 3.306 Å, rel. 76
- 11.34 deg, d = 7.802 Å, rel. 56
- 47.64 deg, d = 1.909 Å, rel. 52
- 35.12 deg, d = 2.555 Å, rel. 49
- 32.76 deg, d = 2.734 Å, rel. 48
- 53.47 deg, d = 1.714 Å, rel. 41

---

For Sm2Dy5HoEr, DFT lattice parameters and positions (PBE) gives the computed XRD peak list in this record (Cu Kα X-rays).
Neutral-atom scattering factors, no anomalous dispersion.

Crystal structure
```
data_Sm2Dy5HoEr
_chemical_formula_sum 'Sm8 Dy20 Ho4 Er4'
_space_group_name_H-M_alt 'I 4/m c m'
_space_group_IT_number 140
_space_group_name_Hall '-I 4 2c'
_cell_length_a 8.569
_cell_length_b 8.569
_cell_length_c 15.722
_cell_angle_alpha 90.00
_cell_angle_beta 90.00
_cell_angle_gamma 90.00
loop_
_atom_site_label
_atom_site_type_symbol
_atom_site_fract_x
_atom_site_fract_y
_atom_site_fract_z
Sm1 Sm 0.118 0.382 0.000
Dy1 Dy 0.000 0.000 0.000
Dy2 Dy 0.212 0.288 0.360
Ho1 Ho 0.000 0.000 0.250
Er1 Er 0.000 0.500 0.250
```

Main lines, by intensity (10 to 80 degrees two-theta):
- 30.87 deg, d = 2.896 Å, rel. 100
- 29.48 deg, d = 3.030 Å, rel. 51
- 28.86 deg, d = 3.093 Å, rel. 45
- 53.18 deg, d = 1.722 Å, rel. 24
- 38.30 deg, d = 2.350 Å, rel. 15
- 55.75 deg, d = 1.649 Å, rel. 13
- 40.37 deg, d = 2.234 Å, rel. 13
- 46.19 deg, d = 1.965 Å, rel. 12
- 33.06 deg, d = 2.710 Å, rel. 12
- 59.83 deg, d = 1.546 Å, rel. 10

---

For AcNdSc, DFT lattice parameters and positions (PBE) gives the computed XRD peak list in this record (Cu Kα X-rays).
Neutral-atom scattering factors, no anomalous dispersion.

Crystal structure
```
data_AcNdSc
_chemical_formula_sum 'Ac1 Nd1 Sc1'
_space_group_name_H-M_alt 'P 3 m 1'
_space_group_IT_number 156
_cell_length_a 5.7557
_cell_length_b 5.7557
_cell_length_c 3.5734
_cell_angle_alpha 90.00
_cell_angle_beta 90.00
_cell_angle_gamma 120.00
loop_
_space_group_symop_operation_xyz
'x,y,z'
'-y,x-y,z'
'-x+y,-x,z'
'-y,-x,z'
'-x+y,y,z'
'x,x-y,z'
loop_
_atom_site_label
_atom_site_type_symbol
_atom_site_fract_x
_atom_site_fract_y
_atom_site_fract_z
Ac1 Ac 0.0000 0.0000 0.0000
Nd1 Nd 0.6667 0.3333 0.5007
Sc1 Sc 0.3333 0.6667 0.0020
```

Main lines, by intensity (10 to 80 degrees two-theta):
- 30.79 deg, d = 2.904 Å, rel. 100
- 31.08 deg, d = 2.878 Å, rel. 82
- 17.79 deg, d = 4.985 Å, rel. 42
- 55.11 deg, d = 1.667 Å, rel. 40
- 44.31 deg, d = 2.044 Å, rel. 37
- 61.04 deg, d = 1.518 Å, rel. 24
- 73.44 deg, d = 1.289 Å, rel. 17
- 55.29 deg, d = 1.662 Å, rel. 16
- 78.63 deg, d = 1.217 Å, rel. 12
- 64.79 deg, d = 1.439 Å, rel. 10

---

For PrSmMoN4, DFT lattice parameters and positions (PBE) gives the computed XRD peak list in this record (Cu Kα X-rays).
Neutral-atom scattering factors, no anomalous dispersion.

Crystal structure
```
data_PrSmMoN4
_chemical_formula_sum 'Pr2 Sm2 Mo2 N8'
_space_group_name_H-M_alt 'I 4 m m'
_space_group_IT_number 107
_space_group_name_Hall 'I 4 -2'
_cell_length_a 3.927
_cell_length_b 3.927
_cell_length_c 12.762
_cell_angle_alpha 90.00
_cell_angle_beta 90.00
_cell_angle_gamma 90.00
loop_
_atom_site_label
_atom_site_type_symbol
_atom_site_fract_x
_atom_site_fract_y
_atom_site_fract_z
Pr1 Pr 0.000 0.000 0.000
Sm1 Sm 0.000 0.000 0.708
Mo1 Mo 0.000 0.000 0.345
N1 N 0.000 0.000 0.193
N2 N 0.000 0.000 0.531
N3 N 0.000 0.500 0.358
```

Main lines, by intensity (10 to 80 degrees two-theta):
- 30.99 deg, d = 2.885 Å, rel. 100
- 32.24 deg, d = 2.777 Å, rel. 60
- 56.71 deg, d = 1.623 Å, rel. 37
- 46.24 deg, d = 1.963 Å, rel. 27
- 54.33 deg, d = 1.689 Å, rel. 16
- 43.19 deg, d = 2.095 Å, rel. 13
- 64.60 deg, d = 1.443 Å, rel. 12
- 42.50 deg, d = 2.127 Å, rel. 11
- 76.75 deg, d = 1.242 Å, rel. 10
- 67.46 deg, d = 1.388 Å, rel. 8

---

For TaTePIrPtPb, DFT lattice parameters and positions (PBE) gives the computed XRD peak list in this record (Cu Kα X-rays).
Neutral-atom scattering factors, no anomalous dispersion.

Crystal structure
```
data_TaTePIrPtPb
_chemical_formula_sum 'Ta1 Te1 P1 Ir1 Pt1 Pb1'
_space_group_name_H-M_alt 'P 1'
_space_group_IT_number 1
_cell_length_a 3.969
_cell_length_b 5.248
_cell_length_c 7.022
_cell_angle_alpha 87.42
_cell_angle_beta 90.00
_cell_angle_gamma 67.89
loop_
_space_group_symop_operation_xyz
'x,y,z'
loop_
_atom_site_label
_atom_site_type_symbol
_atom_site_fract_x
_atom_site_fract_y
_atom_site_fract_z
Ta1 Ta 0.000 0.000 0.000
Te1 Te 0.532 0.937 0.700
P1 P 0.317 0.361 0.029
Ir1 Ir 0.706 0.582 0.004
Pt1 Pt 0.506 0.987 0.276
Pb1 Pb 0.805 0.389 0.413
```

Main lines, by intensity (10 to 80 degrees two-theta):
- 24.23 deg, d = 3.674 Å, rel. 100
- 37.62 deg, d = 2.391 Å, rel. 98
- 35.05 deg, d = 2.560 Å, rel. 90
- 12.62 deg, d = 7.014 Å, rel. 83
- 38.54 deg, d = 2.336 Å, rel. 77
- 45.23 deg, d = 2.005 Å, rel. 72
- 45.72 deg, d = 1.984 Å, rel. 50
- 35.72 deg, d = 2.513 Å, rel. 42
- 37.02 deg, d = 2.428 Å, rel. 40
- 32.20 deg, d = 2.780 Å, rel. 38

---

For Nd3Ni4Ir4, DFT lattice parameters and positions (PBE) gives the computed XRD peak list in this record (Cu Kα X-rays).
Neutral-atom scattering factors, no anomalous dispersion.

Crystal structure
```
data_Nd3Ni4Ir4
_chemical_formula_sum 'Nd6 Ni8 Ir8'
_space_group_name_H-M_alt 'I -4 3 m'
_space_group_IT_number 217
_space_group_name_Hall 'I -4 2 3'
_cell_length_a 7.528
_cell_length_b 7.528
_cell_length_c 7.528
_cell_angle_alpha 90.00
_cell_angle_beta 90.00
_cell_angle_gamma 90.00
loop_
_atom_site_label
_atom_site_type_symbol
_atom_site_fract_x
_atom_site_fract_y
_atom_site_fract_z
Nd1 Nd 0.000 0.000 0.500
Ni1 Ni 0.199 0.199 0.801
Ir1 Ir 0.124 0.124 0.124
```

Main lines, by intensity (10 to 80 degrees two-theta):
- 37.79 deg, d = 2.380 Å, rel. 100
- 45.06 deg, d = 2.012 Å, rel. 81
- 16.66 deg, d = 5.323 Å, rel. 76
- 33.68 deg, d = 2.661 Å, rel. 72
- 51.51 deg, d = 1.774 Å, rel. 48
- 29.06 deg, d = 3.073 Å, rel. 46
- 41.56 deg, d = 2.173 Å, rel. 43
- 70.81 deg, d = 1.331 Å, rel. 34
- 78.29 deg, d = 1.221 Å, rel. 23
- 62.96 deg, d = 1.476 Å, rel. 22

---

For PmZn6Ni4, DFT lattice parameters and positions (PBE) gives the computed XRD peak list in this record (Cu Kα X-rays).
Neutral-atom scattering factors, no anomalous dispersion.

Crystal structure
```
data_PmZn6Ni4
_chemical_formula_sum 'Pm2 Zn12 Ni8'
_space_group_name_H-M_alt 'I -4 2 m'
_space_group_IT_number 121
_space_group_name_Hall 'I -4 2'
_cell_length_a 6.308
_cell_length_b 6.308
_cell_length_c 8.982
_cell_angle_alpha 90.00
_cell_angle_beta 90.00
_cell_angle_gamma 90.00
loop_
_atom_site_label
_atom_site_type_symbol
_atom_site_fract_x
_atom_site_fract_y
_atom_site_fract_z
Pm1 Pm 0.000 0.000 0.000
Zn1 Zn 0.000 0.500 0.000
Zn2 Zn 0.192 0.192 0.704
Ni1 Ni 0.161 0.161 0.426
```

Main lines, by intensity (10 to 80 degrees two-theta):
- 34.76 deg, d = 2.581 Å, rel. 100
- 33.29 deg, d = 2.691 Å, rel. 79
- 44.11 deg, d = 2.053 Å, rel. 67
- 44.24 deg, d = 2.047 Å, rel. 64
- 40.45 deg, d = 2.230 Å, rel. 51
- 45.21 deg, d = 2.006 Å, rel. 49
- 58.31 deg, d = 1.582 Å, rel. 29
- 33.12 deg, d = 2.705 Å, rel. 29
- 19.77 deg, d = 4.491 Å, rel. 28
- 45.44 deg, d = 1.996 Å, rel. 27

---

For La4SnBiTe2, DFT lattice parameters and positions (PBE) gives the computed XRD peak list in this record (Cu Kα X-rays).
Neutral-atom scattering factors, no anomalous dispersion.

Crystal structure
```
data_La4SnBiTe2
_chemical_formula_sum 'La4 Sn1 Bi1 Te2'
_space_group_name_H-M_alt 'P 1 2/m 1'
_space_group_IT_number 10
_cell_length_a 8.005
_cell_length_b 4.651
_cell_length_c 8.059
_cell_angle_alpha 90.00
_cell_angle_beta 109.56
_cell_angle_gamma 90.00
loop_
_space_group_symop_operation_xyz
'x,y,z'
'-x,-y,-z'
'-x,y,-z'
'x,-y,z'
loop_
_atom_site_label
_atom_site_type_symbol
_atom_site_fract_x
_atom_site_fract_y
_atom_site_fract_z
La1 La 0.242 0.000 0.243
La2 La 0.245 0.500 0.753
Sn1 Sn 0.000 0.500 0.000
Bi1 Bi 0.000 0.000 0.500
Te1 Te 0.500 0.000 0.000
Te2 Te 0.500 0.500 0.500
```

Main lines, by intensity (10 to 80 degrees two-theta):
- 27.17 deg, d = 3.282 Å, rel. 100
- 38.71 deg, d = 2.326 Å, rel. 39
- 38.90 deg, d = 2.315 Å, rel. 39
- 47.94 deg, d = 1.898 Å, rel. 21
- 63.24 deg, d = 1.470 Å, rel. 19
- 63.51 deg, d = 1.465 Å, rel. 18
- 70.19 deg, d = 1.341 Å, rel. 14
- 56.05 deg, d = 1.641 Å, rel. 13
- 48.26 deg, d = 1.886 Å, rel. 7
- 70.07 deg, d = 1.343 Å, rel. 7

---

For Ho3Sb2H2, DFT lattice parameters and positions (PBE) gives the computed XRD peak list in this record (Cu Kα X-rays).
Neutral-atom scattering factors, no anomalous dispersion.

Crystal structure
```
data_Ho3Sb2H2
_chemical_formula_sum 'Ho6 Sb4 H4'
_space_group_name_H-M_alt 'P 1 21/c 1'
_space_group_IT_number 14
_cell_length_a 6.195
_cell_length_b 7.048
_cell_length_c 8.209
_cell_angle_alpha 90.00
_cell_angle_beta 119.81
_cell_angle_gamma 90.00
loop_
_space_group_symop_operation_xyz
'x,y,z'
'-x,-y,-z'
'-x,y+1/2,-z+1/2'
'x,-y+1/2,z+1/2'
loop_
_atom_site_label
_atom_site_type_symbol
_atom_site_fract_x
_atom_site_fract_y
_atom_site_fract_z
Ho1 Ho 0.000 0.000 0.000
Ho2 Ho 0.358 0.061 0.728
Sb1 Sb 0.230 0.693 0.887
H1 H 0.345 0.144 0.159
```

Main lines, by intensity (10 to 80 degrees two-theta):
- 28.27 deg, d = 3.157 Å, rel. 100
- 31.81 deg, d = 2.813 Å, rel. 92
- 33.78 deg, d = 2.653 Å, rel. 77
- 35.25 deg, d = 2.546 Å, rel. 35
- 32.73 deg, d = 2.737 Å, rel. 32
- 36.54 deg, d = 2.459 Å, rel. 31
- 28.07 deg, d = 3.179 Å, rel. 30
- 46.43 deg, d = 1.956 Å, rel. 21
- 57.71 deg, d = 1.597 Å, rel. 19
- 44.96 deg, d = 2.016 Å, rel. 18